Theoretical powder X-ray diffraction pattern
Compound: NaZr2Cu2
Radiation: Cu Kα X-rays
Structure: DFT lattice parameters and positions (GGA-PBE)
Kinematic intensities with the Lorentz-polarization factor, no thermal factor.

Structural model:
a b c (Å): 8.104 8.104 2.901
angles (deg): 90.00 90.00 90.00
Atoms (fractional coordinates):
Na (0.000, 0.000, 0.000)
Na (0.500, 0.500, 0.000)
Zr (0.166, 0.334, 0.500)
Zr (0.334, 0.834, 0.500)
Zr (0.666, 0.166, 0.500)
Zr (0.834, 0.666, 0.500)
Cu (0.125, 0.625, 0.000)
Cu (0.375, 0.125, 0.000)
Cu (0.625, 0.875, 0.000)
Cu (0.875, 0.375, 0.000)

Peak list (12 most intense, 2θ = 10–90°, low angle first)
(hkl)  two_theta  I_rel
1 1 0  15.5  40
2 0 0  21.9  10
3 1 0  35.0  45
2 0 1  38.2  13
2 1 1  39.8  100
4 0 0  44.7  14
4 1 0  46.2  11
3 3 0  47.6  14
3 2 1  51.4  8
4 1 1  56.6  12
5 2 1  70.5  18
3 1 2  75.3  8